Record 1
Simulated powder diffraction line list
Compound: Ac6SmTl5
Radiation: Cu Kα
Structure: a PBE-relaxed structure
Neutral-atom scattering factors, no anomalous dispersion.

Peak list (8 most intense, 2θ = 10–80°, low angle first)
2θ/deg  Rel. int.
29.84  100
31.17  21
32.52  21
39.58  12
45.66  15
52.12  12
54.65  14
56.37  17

Structure:
```
data_Ac6SmTl5
_chemical_formula_sum 'Ac12 Sm2 Tl10'
_space_group_name_H-M_alt 'C m m m'
_space_group_IT_number 65
_space_group_name_Hall '-C 2 2'
_cell_length_a 5.5073
_cell_length_b 17.2168
_cell_length_c 9.1075
_cell_angle_alpha 90.00
_cell_angle_beta 90.00
_cell_angle_gamma 90.00
loop_
_atom_site_label
_atom_site_type_symbol
_atom_site_fract_x
_atom_site_fract_y
_atom_site_fract_z
_atom_site_occupancy
Ac1 Ac 0.0000 0.0000 0.2254 1
Ac2 Ac 0.0000 0.3262 0.2547 1
Sm1 Sm 0.0000 0.5000 0.5000 1
Tl1 Tl 0.0000 0.1414 0.5000 1
Tl2 Tl 0.0000 0.1725 0.0000 1
Tl3 Tl 0.0000 0.5000 0.0000 1
```

***

Record 2
Simulated powder diffraction line list
Compound: TmPt4
Radiation: Cu Kα
Structure: a PBE-relaxed structure
Neutral-atom scattering factors, no anomalous dispersion.

Peak list (8 most intense, 2θ = 10–80°, low angle first)
2θ/deg  Rel. int.
38.38  100
40.62  18
42.38  21
50.34  14
60.15  11
67.87  9
74.88  8
78.06  16

Structure:
```
data_TmPt4
_chemical_formula_sum 'Tm4 Pt16'
_space_group_name_H-M_alt 'I m m a'
_space_group_IT_number 74
_space_group_name_Hall '-I 2b 2'
_cell_length_a 4.2658
_cell_length_b 5.7428
_cell_length_c 14.0150
_cell_angle_alpha 90.00
_cell_angle_beta 90.00
_cell_angle_gamma 90.00
loop_
_atom_site_label
_atom_site_type_symbol
_atom_site_fract_x
_atom_site_fract_y
_atom_site_fract_z
_atom_site_occupancy
Tm1 Tm 0.0000 0.2500 0.1065 1
Pt1 Pt 0.0000 0.0000 0.5000 1
Pt2 Pt 0.0000 0.0125 0.6940 1
Pt3 Pt 0.0000 0.2500 0.8951 1
```

***

Record 3
Simulated powder diffraction line list
Compound: Sc3Ag2
Radiation: Cu Kα
Structure: a PBE-relaxed structure
Neutral-atom scattering factors, no anomalous dispersion.

Peak list (8 most intense, 2θ = 10–80°, low angle first)
2θ/deg  Rel. int.
21.50  34
25.51  19
35.35  100
36.05  40
36.35  89
43.96  48
58.11  17
58.51  21

Structure:
```
data_Sc3Ag2
_chemical_formula_sum 'Sc24 Ag16'
_space_group_name_H-M_alt 'F d d 2'
_space_group_IT_number 43
_space_group_name_Hall 'F 2 -2d'
_cell_length_a 9.9644
_cell_length_b 14.7963
_cell_length_c 5.6936
_cell_angle_alpha 90.00
_cell_angle_beta 90.00
_cell_angle_gamma 90.00
loop_
_atom_site_label
_atom_site_type_symbol
_atom_site_fract_x
_atom_site_fract_y
_atom_site_fract_z
_atom_site_occupancy
Sc1 Sc 0.0000 0.0000 0.0000 1
Sc2 Sc 0.0226 0.3957 0.0024 1
Ag1 Ag 0.0152 0.2998 0.5191 1
```

***

Record 4
Simulated powder diffraction line list
Compound: K2Cu2SbSe4
Radiation: Cu Kα
Structure: a PBE-relaxed structure
Neutral-atom scattering factors, no anomalous dispersion.

Peak list (8 most intense, 2θ = 10–80°, low angle first)
2θ/deg  Rel. int.
11.98  100
24.82  31
31.40  33
31.76  49
33.22  36
42.32  25
44.91  26
47.88  22

Structure:
```
data_K2Cu2SbSe4
_chemical_formula_sum 'K4 Cu4 Sb2 Se8'
_space_group_name_H-M_alt 'C 1 2/m 1'
_space_group_IT_number 12
_cell_length_a 15.3967
_cell_length_b 4.0363
_cell_length_c 7.9192
_cell_angle_alpha 90.00
_cell_angle_beta 111.17
_cell_angle_gamma 90.00
loop_
_space_group_symop_operation_xyz
'x,y,z'
'-x,-y,-z'
'-x,y,-z'
'x,-y,z'
'x+1/2,y+1/2,z'
'-x+1/2,-y+1/2,-z'
'-x+1/2,y+1/2,-z'
'x+1/2,-y+1/2,z'
loop_
_atom_site_label
_atom_site_type_symbol
_atom_site_fract_x
_atom_site_fract_y
_atom_site_fract_z
_atom_site_occupancy
K1 K 0.1333 0.0000 0.0522 1
Cu1 Cu 0.1930 0.5000 0.4911 1
Sb1 Sb 0.0000 0.0000 0.5000 1
Se1 Se 0.0264 0.5000 0.2674 1
Se2 Se 0.1998 0.0000 0.6799 1
```

***

Record 5
Simulated powder diffraction line list
Compound: Ca7Zn2N6
Radiation: Cu Kα
Structure: a PBE-relaxed structure
Neutral-atom scattering factors, no anomalous dispersion.

Peak list (8 most intense, 2θ = 10–80°, low angle first)
2θ/deg  Rel. int.
30.54  100
32.45  64
32.76  60
39.10  40
39.80  42
42.84  47
47.39  46
55.30  22

Structure:
```
data_Ca7Zn2N6
_chemical_formula_sum 'Ca14 Zn4 N12'
_space_group_name_H-M_alt 'C 1 2/m 1'
_space_group_IT_number 12
_cell_length_a 7.0603
_cell_length_b 11.5079
_cell_length_c 6.1096
_cell_angle_alpha 90.00
_cell_angle_beta 92.24
_cell_angle_gamma 90.00
loop_
_space_group_symop_operation_xyz
'x,y,z'
'-x,-y,-z'
'-x,y,-z'
'x,-y,z'
'x+1/2,y+1/2,z'
'-x+1/2,-y+1/2,-z'
'-x+1/2,y+1/2,-z'
'x+1/2,-y+1/2,z'
loop_
_atom_site_label
_atom_site_type_symbol
_atom_site_fract_x
_atom_site_fract_y
_atom_site_fract_z
_atom_site_occupancy
Ca1 Ca 0.0000 0.0000 0.0000 1
Ca2 Ca 0.0000 0.1472 0.5000 1
Ca3 Ca 0.1449 0.3413 0.8235 1
Zn1 Zn 0.1865 0.5000 0.3609 1
N1 N 0.1829 0.0000 0.3219 1
N2 N 0.2037 0.3408 0.2269 1
```

***

Record 6
Simulated powder diffraction line list
Compound: Ag12SBr
Radiation: Cu Kα
Structure: a PBE-relaxed structure
Neutral-atom scattering factors, no anomalous dispersion.

Peak list (8 most intense, 2θ = 10–80°, low angle first)
2θ/deg  Rel. int.
16.72  65
23.73  42
29.17  100
37.95  17
41.73  59
45.25  58
48.57  39
71.13  24

Structure:
```
data_Ag12SBr
_chemical_formula_sum 'Ag12 S1 Br1'
_space_group_name_H-M_alt 'P m -3 m'
_space_group_IT_number 221
_space_group_name_Hall '-P 4 2 3'
_cell_length_a 7.4978
_cell_length_b 7.4978
_cell_length_c 7.4978
_cell_angle_alpha 90.00
_cell_angle_beta 90.00
_cell_angle_gamma 90.00
loop_
_atom_site_label
_atom_site_type_symbol
_atom_site_fract_x
_atom_site_fract_y
_atom_site_fract_z
_atom_site_occupancy
Ag1 Ag 0.0000 0.2502 0.5000 1
S1 S 0.0000 0.0000 0.0000 1
Br1 Br 0.5000 0.5000 0.5000 1
```

***

Record 7
Simulated powder diffraction line list
Compound: Ag2TeSe2F2
Radiation: Cu Kα
Structure: a PBE-relaxed structure
Neutral-atom scattering factors, no anomalous dispersion.

Peak list (8 most intense, 2θ = 10–80°, low angle first)
2θ/deg  Rel. int.
22.95  33
24.66  61
25.53  51
31.41  100
34.40  67
34.76  89
41.48  35
45.84  35

Structure:
```
data_Ag2TeSe2F2
_chemical_formula_sum 'Ag2 Te1 Se2 F2'
_space_group_name_H-M_alt 'P -1'
_space_group_IT_number 2
_cell_length_a 4.7574
_cell_length_b 5.4839
_cell_length_c 6.2359
_cell_angle_alpha 74.07
_cell_angle_beta 67.65
_cell_angle_gamma 76.50
loop_
_space_group_symop_operation_xyz
'x,y,z'
'-x,-y,-z'
loop_
_atom_site_label
_atom_site_type_symbol
_atom_site_fract_x
_atom_site_fract_y
_atom_site_fract_z
_atom_site_occupancy
Ag1 Ag 0.0019 0.3220 0.3001 1
Te1 Te 0.5000 0.0000 0.0000 1
Se1 Se 0.4339 0.2214 0.5389 1
F1 F 0.2211 0.7270 0.0530 1
```

***

Record 8
Simulated powder diffraction line list
Compound: Cs2Ge2Pd
Radiation: Cu Kα
Structure: a PBE-relaxed structure
Neutral-atom scattering factors, no anomalous dispersion.

Peak list (8 most intense, 2θ = 10–80°, low angle first)
2θ/deg  Rel. int.
29.28  64
29.63  87
32.38  100
36.65  18
41.16  25
51.30  26
52.14  18
53.91  23

Structure:
```
data_Cs2Ge2Pd
_chemical_formula_sum 'Cs4 Ge4 Pd2'
_space_group_name_H-M_alt 'P 4/m b m'
_space_group_IT_number 127
_space_group_name_Hall '-P 4 2ab'
_cell_length_a 6.9361
_cell_length_b 6.9361
_cell_length_c 6.1007
_cell_angle_alpha 90.00
_cell_angle_beta 90.00
_cell_angle_gamma 90.00
loop_
_atom_site_label
_atom_site_type_symbol
_atom_site_fract_x
_atom_site_fract_y
_atom_site_fract_z
_atom_site_occupancy
Cs1 Cs 0.1957 0.3043 0.0000 1
Ge1 Ge 0.1264 0.6264 0.5000 1
Pd1 Pd 0.0000 0.0000 0.5000 1
```

***

Record 9
Simulated powder diffraction line list
Compound: Ca2BeSbAu6
Radiation: Cu Kα
Structure: a PBE-relaxed structure
Neutral-atom scattering factors, no anomalous dispersion.

Peak list (8 most intense, 2θ = 10–80°, low angle first)
2θ/deg  Rel. int.
19.27  50
27.90  58
30.80  49
32.24  53
37.61  49
38.00  100
40.60  62
42.94  55

Structure:
```
data_Ca2BeSbAu6
_chemical_formula_sum 'Ca4 Be2 Sb2 Au12'
_space_group_name_H-M_alt 'P m m n'
_space_group_IT_number 59
_cell_length_a 5.5973
_cell_length_b 8.8877
_cell_length_c 9.2134
_cell_angle_alpha 90.00
_cell_angle_beta 90.00
_cell_angle_gamma 90.00
loop_
_space_group_symop_operation_xyz
'x,y,z'
'-x,-y,-z'
'-x+1/2,-y+1/2,z'
'x+1/2,y+1/2,-z'
'x+1/2,-y,-z'
'-x+1/2,y,z'
'-x,y+1/2,-z'
'x,-y+1/2,z'
loop_
_atom_site_label
_atom_site_type_symbol
_atom_site_fract_x
_atom_site_fract_y
_atom_site_fract_z
_atom_site_occupancy
Ca1 Ca 0.2500 0.0030 0.2476 1
Be1 Be 0.2500 0.2500 0.7308 1
Sb1 Sb 0.2500 0.7500 0.8009 1
Au1 Au 0.0029 0.7500 0.4747 1
Au2 Au 0.0043 0.2500 0.9351 1
Au3 Au 0.2500 0.5075 0.6160 1
```

***

Record 10
Simulated powder diffraction line list
Compound: Ti6Co2Ir
Radiation: Cu Kα
Structure: a PBE-relaxed structure
Neutral-atom scattering factors, no anomalous dispersion.

Peak list (8 most intense, 2θ = 10–80°, low angle first)
2θ/deg  Rel. int.
21.41  30
21.66  50
22.05  30
26.49  42
38.07  100
40.91  32
41.52  91
44.15  39

Structure:
```
data_Ti6Co2Ir
_chemical_formula_sum 'Ti24 Co8 Ir4'
_space_group_name_H-M_alt 'I m m m'
_space_group_IT_number 71
_space_group_name_Hall '-I 2 2'
_cell_length_a 8.0632
_cell_length_b 8.2054
_cell_length_c 8.2988
_cell_angle_alpha 90.00
_cell_angle_beta 90.00
_cell_angle_gamma 90.00
loop_
_atom_site_label
_atom_site_type_symbol
_atom_site_fract_x
_atom_site_fract_y
_atom_site_fract_z
_atom_site_occupancy
Ti1 Ti 0.0000 0.2174 0.1753 1
Ti2 Ti 0.1853 0.2129 0.5000 1
Ti3 Ti 0.2002 0.5000 0.2579 1
Co1 Co 0.0000 0.0000 0.3560 1
Co2 Co 0.1477 0.0000 0.0000 1
Ir1 Ir 0.0000 0.5000 0.0000 1
Ir2 Ir 0.0000 0.5000 0.5000 1
```

***

Record 11
Simulated powder diffraction line list
Compound: HoTi2NiN4
Radiation: Cu Kα
Structure: a PBE-relaxed structure
Neutral-atom scattering factors, no anomalous dispersion.

Peak list (8 most intense, 2θ = 10–80°, low angle first)
2θ/deg  Rel. int.
16.77  84
30.61  51
33.91  51
34.36  48
34.71  100
39.94  52
42.71  82
59.23  32

Structure:
```
data_HoTi2NiN4
_chemical_formula_sum 'Ho4 Ti8 Ni4 N16'
_space_group_name_H-M_alt 'C m c m'
_space_group_IT_number 63
_space_group_name_Hall '-C 2c 2'
_cell_length_a 3.0900
_cell_length_b 10.4413
_cell_length_c 10.5729
_cell_angle_alpha 90.00
_cell_angle_beta 90.00
_cell_angle_gamma 90.00
loop_
_atom_site_label
_atom_site_type_symbol
_atom_site_fract_x
_atom_site_fract_y
_atom_site_fract_z
_atom_site_occupancy
Ho1 Ho 0.0000 0.1123 0.2500 1
Ti1 Ti 0.0000 0.3684 0.0494 1
Ni1 Ni 0.0000 0.1519 0.7500 1
N1 N 0.0000 0.0000 0.0000 1
N2 N 0.0000 0.2693 0.6105 1
N3 N 0.0000 0.4494 0.2500 1
```

***

Record 12
Simulated powder diffraction line list
Compound: Cs4Zr6BBr17
Radiation: Cu Kα
Structure: a PBE-relaxed structure
Neutral-atom scattering factors, no anomalous dispersion.

Peak list (8 most intense, 2θ = 10–80°, low angle first)
2θ/deg  Rel. int.
10.09  21
12.20  21
27.62  24
28.49  20
29.77  100
33.66  40
34.72  22
48.59  23

Structure:
```
data_Cs4Zr6BBr17
_chemical_formula_sum 'Cs8 Zr12 B2 Br34'
_space_group_name_H-M_alt 'P -4 21 m'
_space_group_IT_number 113
_cell_length_a 12.9172
_cell_length_b 12.9172
_cell_length_c 11.9410
_cell_angle_alpha 90.00
_cell_angle_beta 90.00
_cell_angle_gamma 90.00
loop_
_space_group_symop_operation_xyz
'x,y,z'
'y,-x,-z'
'-x,-y,z'
'-y,x,-z'
'x+1/2,-y+1/2,-z'
'y+1/2,x+1/2,z'
'-x+1/2,y+1/2,-z'
'-y+1/2,-x+1/2,z'
loop_
_atom_site_label
_atom_site_type_symbol
_atom_site_fract_x
_atom_site_fract_y
_atom_site_fract_z
_atom_site_occupancy
Cs1 Cs 0.0132 0.2219 0.1541 1
Zr1 Zr 0.0918 0.5918 0.5166 1
Zr2 Zr 0.0915 0.5915 0.7948 1
Zr3 Zr 0.1285 0.3715 0.6532 1
B1 B 0.0000 0.5000 0.6553 1
Br1 Br 0.0000 0.0000 0.0000 1
Br2 Br 0.0000 0.5000 0.3324 1
Br3 Br 0.0000 0.5000 0.9789 1
Br4 Br 0.0410 0.2473 0.4964 1
Br5 Br 0.0444 0.2489 0.8136 1
Br6 Br 0.2050 0.7050 0.9619 1
Br7 Br 0.2068 0.7068 0.3416 1
Br8 Br 0.2077 0.7077 0.6567 1
```